Structure and simulated X-ray diffraction stick pattern of LiGaPd2 (a cell relaxed with PBE; a wavelength of 1.5418 Å).
Intensities are scaled so that the largest is 100.

Structure:
a = 6.074 Å, b = 6.074 Å, c = 6.074 Å
α = 90.00°, β = 90.00°, γ = 90.00°
Space group Fm-3m (No. 225)
Inequivalent atoms, fractional coordinates:
Li 0.000 0.000 0.000
Ga 0.000 0.000 0.500
Pd 0.250 0.250 0.250

Principal peaks in the range 2θ from 10° to 90°, by angle:
2theta  I/Imax  index
25.40  14  1 1 1
29.41  29  2 0 0
42.07  100  2 2 0
49.79  6  3 1 1
52.16  8  2 2 2
61.02  16  4 0 0
67.18  3  3 3 1
69.16  10  4 2 0
76.89  32  4 2 2
82.52  2  5 1 1

***

Structure and simulated X-ray diffraction stick pattern of Hf2ScGa3 (a cell relaxed with PBE; a wavelength of 1.5418 Å).
Intensities are scaled so that the largest is 100.

Structure:
a = 3.870 Å, b = 3.920 Å, c = 60.872 Å
α = 90.00°, β = 90.00°, γ = 90.00°
Space group Imm2 (No. 44)
Inequivalent atoms, fractional coordinates:
Hf 0.000 0.000 0.000
Hf 0.000 0.000 0.131
Hf 0.000 0.000 0.333
Hf 0.000 0.000 0.666
Hf 0.000 0.000 0.797
Hf 0.000 0.500 0.213
Hf 0.000 0.500 0.546
Hf 0.000 0.500 0.879
Sc 0.000 0.000 0.464
Sc 0.000 0.500 0.083
Sc 0.000 0.500 0.416
Sc 0.000 0.500 0.749
Ga 0.000 0.000 0.176
Ga 0.000 0.000 0.287
Ga 0.000 0.000 0.509
Ga 0.000 0.000 0.620
Ga 0.000 0.000 0.842
Ga 0.000 0.000 0.953
Ga 0.000 0.500 0.037
Ga 0.000 0.500 0.260
Ga 0.000 0.500 0.370
Ga 0.000 0.500 0.593
Ga 0.000 0.500 0.704
Ga 0.000 0.500 0.926

Principal peaks in the range 2θ from 10° to 90°, by angle:
2theta  I/Imax  index
31.74  11  0 1 15
31.96  18  1 0 15
33.73  100  1 1 6
35.39  28  0 0 24
38.63  25  0 1 21
42.33  51  1 1 18
46.33  22  0 2 0
46.96  21  2 0 0
59.62  12  0 2 24
60.15  12  2 0 24
62.38  12  2 1 21
68.10  14  2 2 0